Entry 1:
This entry pairs a crystal structure of La5PmPb6 with its calculated X-ray powder pattern. Radiation: Cu Kα X-rays. Structure: a crystal structure in Alexandria, relaxed with PBE.
Kinematic intensities with the Lorentz-polarization factor, no thermal factor.

Atomic structure:
```
data_La5PmPb6
_space_group_name_H-M_alt 'I m m m'
_space_group_IT_number 71
_space_group_name_Hall '-I 2 2'
_cell_length_a 5.1786
_cell_length_b 9.3009
_cell_length_c 15.5770
_cell_angle_alpha 90.00
_cell_angle_beta 90.00
_cell_angle_gamma 90.00
loop_
_atom_site_label
_atom_site_fract_x
_atom_site_fract_y
_atom_site_fract_z
_atom_site_occupancy
La1 0.0000 0.0000 0.0000 1
La2 0.0000 0.0000 0.3335 1
La3 0.0000 0.5000 0.3333 1
Pm1 0.0000 0.5000 0.0000 1
Pb1 0.0000 0.2470 0.5000 1
Pb2 0.0000 0.2514 0.1651 1
```

Main lines, sorted by position (15° ≤ 2θ ≤ 90°):
(hkl)  Position (°2θ)  d/Å  I_rel
1 2 3  31.06  2.879  100
2 0 0  34.60  2.593  38
0 4 0  38.73  2.325  14
2 0 6  49.73  1.833  14
2 4 0  52.89  1.731  23
1 2 9  59.74  1.548  16
3 2 3  59.86  1.545  16
2 4 6  64.75  1.440  12
1 6 3  65.36  1.428  12
3 2 9  81.41  1.182  7

Entry 2:
This entry pairs a crystal structure of LaPm7Pb4 with its calculated X-ray powder pattern. Radiation: Cu Kα X-rays. Structure: a crystal structure in Alexandria, relaxed with PBE.
Kinematic intensities with the Lorentz-polarization factor, no thermal factor.

Atomic structure:
```
data_LaPm7Pb4
_space_group_name_H-M_alt 'C 1 2/m 1'
_space_group_IT_number 12
_cell_length_a 13.8933
_cell_length_b 5.9449
_cell_length_c 11.5002
_cell_angle_alpha 90.00
_cell_angle_beta 123.49
_cell_angle_gamma 90.00
loop_
_space_group_symop_operation_xyz
'x,y,z'
'-x,-y,-z'
'-x,y,-z'
'x,-y,z'
'x+1/2,y+1/2,z'
'-x+1/2,-y+1/2,-z'
'-x+1/2,y+1/2,-z'
'x+1/2,-y+1/2,z'
loop_
_atom_site_label
_atom_site_fract_x
_atom_site_fract_y
_atom_site_fract_z
_atom_site_occupancy
La1 0.0000 0.0000 0.0000 1
Pm1 0.0000 0.5000 0.0000 1
Pm2 0.0490 0.0000 0.3707 1
Pm3 0.1702 0.5000 0.5843 1
Pm4 0.2107 0.0000 0.8905 1
Pb1 0.0764 0.5000 0.7743 1
Pb2 0.2053 0.5000 0.3244 1
```

Main lines, sorted by position (15° ≤ 2θ ≤ 90°):
(hkl)  Position (°2θ)  d/Å  I_rel
4 0 -3  27.91  3.197  83
0 2 0  30.06  2.973  100
2 0 -4  31.54  2.837  33
3 1 1  33.03  2.712  99
5 1 -3  36.31  2.474  33
1 1 -4  37.06  2.426  55
5 1 -1  37.71  2.386  18
4 2 -3  41.48  2.177  58
2 2 -4  44.13  2.052  26
3 3 1  55.28  1.662  30

Entry 3:
This entry pairs a crystal structure of La2Pm3Pb4 with its calculated X-ray powder pattern. Radiation: Cu Kα X-rays. Structure: a crystal structure in Alexandria, relaxed with PBE.
Kinematic intensities with the Lorentz-polarization factor, no thermal factor.

Atomic structure:
```
data_La2Pm3Pb4
_space_group_name_H-M_alt 'P 1 21/c 1'
_space_group_IT_number 14
_cell_length_a 8.6893
_cell_length_b 8.6742
_cell_length_c 8.3964
_cell_angle_alpha 90.00
_cell_angle_beta 111.19
_cell_angle_gamma 90.00
loop_
_space_group_symop_operation_xyz
'x,y,z'
'-x,-y,-z'
'-x,y+1/2,-z+1/2'
'x,-y+1/2,z+1/2'
loop_
_atom_site_label
_atom_site_fract_x
_atom_site_fract_y
_atom_site_fract_z
_atom_site_occupancy
La1 0.1936 0.1805 0.0606 1
Pm1 0.2443 0.6623 0.2383 1
Pm2 0.5000 0.0000 0.5000 1
Pb1 0.0855 0.5390 0.8326 1
Pb2 0.4897 0.1387 0.8622 1
```

Main lines, sorted by position (15° ≤ 2θ ≤ 90°):
(hkl)  Position (°2θ)  d/Å  I_rel
2 1 -2  27.33  3.263  45
1 2 1  27.66  3.226  32
2 2 -1  29.30  3.048  100
1 2 -2  29.75  3.003  51
2 2 0  30.19  2.960  32
1 1 2  30.52  2.929  89
3 0 -2  32.77  2.732  39
0 3 1  33.03  2.712  53
3 0 0  33.17  2.701  33
1 1 -3  33.68  2.661  84